Diffraction record for PmCd4Hg2. The powder diffractogram is simulated, not measured: it uses the PBE geometry in Alexandria and CuKα.

Top 10 peaks for 2θ = 10–90°, most intense first:
2theta, intensity
32.8, 100.0
38.6, 51.1
38.5, 43.6
40.2, 40.4
29.5, 35.0
29.7, 29.9
61.5, 29.2
44.5, 28.9
60.2, 23.2
31.5, 22.0

Structure:
Cell: 4.675 17.879 4.076 Å, 90.00 90.00 90.00°
Atoms (fractional coordinates):
Pm1 0.000 0.000 0.000
Pm2 0.500 0.500 0.000
Cd1 0.000 0.175 0.500
Cd2 0.000 0.305 0.000
Cd3 0.000 0.695 0.000
Cd4 0.000 0.825 0.500
Cd5 0.500 0.195 0.000
Cd6 0.500 0.325 0.500
Cd7 0.500 0.675 0.500
Cd8 0.500 0.805 0.000
Hg1 0.000 0.422 0.500
Hg2 0.000 0.578 0.500
Hg3 0.500 0.078 0.500
Hg4 0.500 0.922 0.500

---

Diffraction record for Mg3Zn2Ag. The powder diffractogram is simulated, not measured: it uses the PBE geometry in Alexandria and CuKα.

Top 10 peaks for 2θ = 10–90°, most intense first:
2theta, intensity
38.8, 100.0
26.5, 39.8
37.6, 27.4
38.0, 26.6
54.5, 17.8
27.9, 17.5
68.6, 17.1
69.1, 16.7
83.3, 9.8
47.4, 7.9

Structure:
Cell: 4.789 14.224 3.202 Å, 90.00 90.00 90.00°
Atoms (fractional coordinates):
Mg1 0.000 0.000 0.000
Mg2 0.000 0.333 0.000
Mg3 0.000 0.667 0.000
Mg4 0.500 0.167 0.000
Mg5 0.500 0.500 0.000
Mg6 0.500 0.833 0.000
Zn1 0.000 0.167 0.500
Zn2 0.000 0.833 0.500
Zn3 0.500 0.333 0.500
Zn4 0.500 0.667 0.500
Ag1 0.000 0.500 0.500
Ag2 0.500 0.000 0.500

---

Diffraction record for Nd6Te3Pb2Se. The powder diffractogram is simulated, not measured: it uses the PBE geometry in Alexandria and CuKα.

Top 10 peaks for 2θ = 10–90°, most intense first:
2theta, intensity
28.1, 100.0
40.0, 38.1
40.2, 25.4
65.6, 17.2
49.7, 13.9
40.1, 13.0
73.0, 12.9
65.9, 11.6
58.0, 8.6
49.8, 6.7

Structure:
Cell: 10.057 10.057 9.002 Å, 103.33 103.33 25.82°
Atoms (fractional coordinates):
Nd1 0.001 0.001 0.235
Nd2 0.333 0.333 0.421
Nd3 0.340 0.340 0.917
Nd4 0.660 0.660 0.083
Nd5 0.667 0.667 0.579
Nd6 0.999 0.999 0.765
Te1 0.168 0.168 0.834
Te2 0.500 0.500 0.500
Te3 0.832 0.832 0.166
Pb1 0.166 0.166 0.331
Pb2 0.834 0.834 0.669
Se1 0.500 0.500 0.000

---

Diffraction record for ErTlPdRu. The powder diffractogram is simulated, not measured: it uses the PBE geometry in Alexandria and CuKα.

Top 9 peaks for 2θ = 10–90°, most intense first:
2theta, intensity
37.9, 100.0
68.5, 35.2
54.7, 17.3
81.0, 11.1
26.6, 8.6
61.8, 3.7
46.9, 2.7
87.1, 2.0
23.0, 0.8

Structure:
Cell: 6.712 6.712 6.712 Å, 90.00 90.00 90.00°
Atoms (fractional coordinates):
Er1 0.000 0.000 0.000
Er2 0.000 0.500 0.500
Er3 0.500 0.000 0.500
Er4 0.500 0.500 0.000
Tl1 0.000 0.000 0.500
Tl2 0.000 0.500 0.000
Tl3 0.500 0.000 0.000
Tl4 0.500 0.500 0.500
Pd1 0.250 0.250 0.750
Pd2 0.250 0.750 0.250
Pd3 0.750 0.250 0.250
Pd4 0.750 0.750 0.750
Ru1 0.250 0.250 0.250
Ru2 0.250 0.750 0.750
Ru3 0.750 0.250 0.750
Ru4 0.750 0.750 0.250